The following is a calculated PXRD pattern of Tl2Hg2Sb2Pb3. It was derived from a cell relaxed with PBE, using Cu Ka.
Intensities are scaled so that the largest is 100.

Structural model:
Cell lengths 9.300, 9.300, 9.300 Å; angles 142.20, 142.20, 54.52 degrees
Sites, in units of the cell vectors:
Tl (0.112, 0.112, 0.000)
Tl (0.888, 0.888, 0.000)
Hg (0.000, 0.500, 0.500)
Hg (0.500, 0.000, 0.500)
Sb (0.310, 0.310, 0.000)
Sb (0.690, 0.690, 0.000)
Pb (0.250, 0.750, 0.500)
Pb (0.500, 0.500, 0.000)
Pb (0.750, 0.250, 0.500)

Principal peaks in the range 10° ≤ 2θ ≤ 90°, most intense first:
29.7 deg, I = 100; 30.1 deg, I = 66; 30.8 deg, I = 43; 42.4 deg, I = 38; 43.3 deg, I = 34; 52.9 deg, I = 28; 69.8 deg, I = 18; 36.9 deg, I = 17; 53.8 deg, I = 17; 21.5 deg, I = 17


The following is a calculated PXRD pattern of Si4Au5. It was derived from a cell relaxed with PBE, using Cu Ka.
Intensities are scaled so that the largest is 100.

Structural model:
Cell lengths 7.434, 7.434, 6.796 Å; angles 90.00, 90.00, 120.00 degrees
Sites, in units of the cell vectors:
Si (0.000, 0.000, 0.000)
Si (0.000, 0.000, 0.500)
Si (0.000, 0.379, 0.250)
Si (0.000, 0.621, 0.750)
Si (0.379, 0.000, 0.250)
Si (0.379, 0.379, 0.750)
Si (0.621, 0.000, 0.750)
Si (0.621, 0.621, 0.250)
Au (0.000, 0.286, 0.750)
Au (0.000, 0.714, 0.250)
Au (0.286, 0.000, 0.750)
Au (0.286, 0.286, 0.250)
Au (0.333, 0.667, 0.000)
Au (0.333, 0.667, 0.500)
Au (0.667, 0.333, 0.000)
Au (0.667, 0.333, 0.500)
Au (0.714, 0.000, 0.250)
Au (0.714, 0.714, 0.750)

Principal peaks in the range 10° ≤ 2θ ≤ 90°, most intense first:
35.8 deg, I = 100; 27.3 deg, I = 60; 42.1 deg, I = 52; 39.3 deg, I = 25; 56.4 deg, I = 24; 70.7 deg, I = 23; 29.7 deg, I = 21; 27.7 deg, I = 16; 72.9 deg, I = 15; 47.0 deg, I = 15


The following is a calculated PXRD pattern of NiW5. It was derived from a cell relaxed with PBE, using Cu Ka.
Intensities are scaled so that the largest is 100.

Structural model:
Cell lengths 10.611, 2.646, 6.906 Å; angles 90.00, 104.75, 90.00 degrees
Sites, in units of the cell vectors:
Ni (0.000, 0.000, 0.000)
Ni (0.500, 0.500, 0.000)
W (0.056, 0.000, 0.627)
W (0.165, 0.500, 0.319)
W (0.223, 0.500, 0.958)
W (0.329, 0.000, 0.669)
W (0.402, 0.000, 0.276)
W (0.556, 0.500, 0.627)
W (0.665, 0.000, 0.319)
W (0.723, 0.000, 0.958)
W (0.829, 0.500, 0.669)
W (0.902, 0.500, 0.276)

Principal peaks in the range 10° ≤ 2θ ≤ 90°, most intense first:
38.4 deg, I = 100; 43.2 deg, I = 63; 43.1 deg, I = 62; 40.5 deg, I = 45; 40.8 deg, I = 45; 65.8 deg, I = 25; 71.3 deg, I = 18; 79.1 deg, I = 14; 55.4 deg, I = 14; 78.7 deg, I = 14